Entry 1:
Simulated XRD peak list of Ti3AsO for Cu Kα X-rays, from a DFT-relaxed cell (PBE, Alexandria).
Neutral-atom scattering factors, no anomalous dispersion.

Most intense lines, 15 to 90 degrees two-theta, low angle first:
d_spacing	two_theta	Rel. int.	hkl
2.374	37.90	100.0	1 1 -2
2.366	38.04	99.2	1 1 2
2.133	42.38	50.2	0 2 0
2.071	43.71	39.0	0 0 4
1.964	46.22	38.2	2 0 0
1.486	62.51	24.5	0 2 4
1.445	64.50	25.8	2 2 0
1.272	74.59	24.9	1 3 2
1.187	81.00	10.9	2 2 -4
1.183	81.35	11.0	2 2 4

Lattice parameters (Å, degrees): 3.928 4.266 8.284 90.00 90.30 90.00
Space group P2_1/m (No. 11)
Symmetry-distinct sites (fractional):
Ti1 0.001 0.250 0.143
Ti2 0.498 0.250 0.863
Ti3 0.498 0.750 0.610
As1 0.005 0.750 0.358
O1 0.499 0.750 0.883



Entry 2:
Simulated XRD peak list of Tb2Sm2Y6Ho for Cu Kα X-rays, from a DFT-relaxed cell (PBE, Alexandria).
Neutral-atom scattering factors, no anomalous dispersion.

Most intense lines, 15 to 90 degrees two-theta, low angle first:
d_spacing	two_theta	Rel. int.	hkl
2.904	30.79	56.8	0 4 1
2.842	31.48	39.3	2 0 0
2.788	32.10	100.0	1 3 2
2.643	33.91	19.0	0 0 4
2.030	44.65	18.4	2 4 1
1.935	46.95	15.2	2 0 4
1.731	52.88	11.6	0 4 5
1.630	56.46	25.9	3 3 2
1.493	62.15	16.1	1 7 3
1.478	62.86	13.6	2 4 5

Lattice parameters (Å, degrees): 5.683 12.061 10.573 90.00 90.00 90.00
Space group Cmmm (No. 65)
Symmetry-distinct sites (fractional):
Tb1 0.000 0.207 0.000
Sm1 0.000 0.133 0.500
Y1 0.000 0.000 0.204
Y2 0.000 0.348 0.294
Ho1 0.000 0.500 0.000



Entry 3:
Simulated XRD peak list of BaTa2TlO7 for Cu Kα X-rays, from a DFT-relaxed cell (PBE, Alexandria).
Neutral-atom scattering factors, no anomalous dispersion.

Most intense lines, 15 to 90 degrees two-theta, low angle first:
d_spacing	two_theta	Rel. int.	hkl
3.942	22.56	68.4	1 0 1
3.585	24.83	25.1	0 0 6
3.500	25.45	75.2	1 0 3
2.933	30.47	100.0	1 0 5
2.742	32.66	58.7	1 1 2
2.508	35.80	25.0	1 1 4
2.439	36.85	24.0	1 0 7
2.005	45.23	46.8	2 0 0
1.714	53.47	41.3	1 1 10
1.655	55.52	38.9	2 1 5

Lattice parameters (Å, degrees): 4.010 4.010 21.511 90.00 90.00 90.00
Space group I-4m2 (No. 119)
Symmetry-distinct sites (fractional):
Ba1 0.000 0.000 0.000
Ta1 0.000 0.000 0.399
Tl1 0.000 0.500 0.250
O1 0.000 0.000 0.310
O2 0.000 0.000 0.500
O3 0.000 0.500 0.095
O4 0.000 0.500 0.592



Entry 4:
Simulated XRD peak list of LaHgOsO6 for Cu Kα X-rays, from a DFT-relaxed cell (PBE, Alexandria).
Neutral-atom scattering factors, no anomalous dispersion.

Most intense lines, 15 to 90 degrees two-theta, low angle first:
d_spacing	two_theta	Rel. int.	hkl
3.443	25.88	100.0	1 1 1
2.892	30.93	54.9	2 0 0
2.370	37.97	8.5	0 0 2
2.214	40.75	29.7	2 2 1
1.833	49.74	40.0	2 0 2
1.758	52.02	30.3	3 1 1
1.669	55.00	15.6	3 3 0
1.507	61.54	8.8	1 1 3
1.365	68.78	11.4	3 3 2
1.333	70.67	12.3	3 5 1

Lattice parameters (Å, degrees): 5.785 10.014 4.740 90.00 90.07 90.00
Space group C2 (No. 5)
Symmetry-distinct sites (fractional):
La1 0.000 0.000 0.000
Hg1 0.000 0.667 0.500
Os1 0.000 0.333 0.000
O1 0.129 0.196 0.772
O2 0.142 0.467 0.772
O3 0.229 0.838 0.772



Entry 5:
Simulated XRD peak list of Pr5Se2S2 for Cu Kα X-rays, from a DFT-relaxed cell (PBE, Alexandria).
Neutral-atom scattering factors, no anomalous dispersion.

Most intense lines, 15 to 90 degrees two-theta, low angle first:
d_spacing	two_theta	Rel. int.	hkl
3.698	24.07	30.1	4 0 0
3.512	25.36	25.8	0 2 1
3.174	28.11	19.8	2 2 1
2.872	31.14	100.0	3 1 2
2.693	33.27	17.3	4 2 0
2.549	35.21	66.7	4 2 1
2.470	36.37	25.3	6 0 0
2.464	36.47	45.4	1 1 3
2.447	36.72	50.1	1 3 1
1.611	57.19	18.9	7 3 1

Lattice parameters (Å, degrees): 14.822 7.841 7.908 90.00 90.00 90.00
Space group Cmce (No. 64)
Symmetry-distinct sites (fractional):
Pr1 0.000 0.000 0.000
Pr2 0.141 0.160 0.350
Se1 0.000 0.145 0.647
S1 0.194 0.000 0.000



Entry 6:
Simulated XRD peak list of CuNi2Rh2 for Cu Kα X-rays, from a DFT-relaxed cell (PBE, Alexandria).
Neutral-atom scattering factors, no anomalous dispersion.

Most intense lines, 15 to 90 degrees two-theta, low angle first:
d_spacing	two_theta	Rel. int.	hkl
4.217	21.07	3.3	0 0 3
3.147	28.36	8.6	0 1 2
2.384	37.73	4.4	1 0 4
2.095	43.19	100.0	1 1 0
2.075	43.61	94.3	0 1 5
1.474	63.05	29.9	2 0 5
1.209	79.21	15.4	3 0 0
1.206	79.50	29.6	1 2 5
1.195	80.38	13.1	1 0 10
1.167	82.67	2.5	1 1 9

Lattice parameters (Å, degrees): 4.1893 4.1893 12.6522 90.00 90.00 120.00
Space group R-3m (No. 166, hexagonal axes)
Symmetry-distinct sites (fractional):
Cu1 0.0000 0.0000 0.0000
Ni1 0.0000 0.0000 0.4029
Rh1 0.0000 0.0000 0.2073